For TiCd3, a PBE-relaxed structure gives the simulated powder XRD pattern in this record (Cu Kα, 1.54184 Å).

Peak list (10 most intense, 5° ≤ 2θ ≤ 70°, in order of rising 2θ)
| d_spacing | Position (°2θ) | I_rel |
| --- | --- | --- |
| 3.592 | 24.78 | 11 |
| 3.102 | 28.78 | 4 |
| 2.686 | 33.36 | 25 |
| 2.416 | 37.22 | 24 |
| 2.348 | 38.34 | 100 |
| 1.906 | 47.72 | 2 |
| 1.872 | 48.64 | 2 |
| 1.796 | 50.83 | 14 |
| 1.551 | 59.62 | 17 |
| 1.381 | 67.85 | 17 |

Cell and atoms:
a b c (Å): 6.2032 6.2032 4.8317
angles (deg): 90.00 90.00 120.00
Space group P6_3/mmc (No. 194)
One atom of each set of equivalent atoms:
Ti  0.3333  0.6667  0.2500
Cd  0.1700  0.3400  0.7500

---

For Tl3Cd, a PBE-relaxed structure gives the simulated powder XRD pattern in this record (Cu Kα, 1.54184 Å).

Peak list (10 most intense, 5° ≤ 2θ ≤ 70°, in order of rising 2θ)
| d_spacing | Position (°2θ) | I_rel |
| --- | --- | --- |
| 4.903 | 18.09 | 4 |
| 3.467 | 25.69 | 3 |
| 2.831 | 31.60 | 100 |
| 2.452 | 36.66 | 51 |
| 2.193 | 41.17 | 2 |
| 2.002 | 45.30 | 2 |
| 1.734 | 52.81 | 36 |
| 1.634 | 56.29 | 1 |
| 1.478 | 62.86 | 43 |
| 1.415 | 66.00 | 12 |

Cell and atoms:
a b c (Å): 4.903 4.903 4.903
angles (deg): 90.00 90.00 90.00
Space group Pm-3m (No. 221)
One atom of each set of equivalent atoms:
Tl  0.000  0.000  0.500
Cd  0.500  0.500  0.500

---

For Tl3Cd, a PBE-relaxed structure gives the simulated powder XRD pattern in this record (Cu Kα, 1.54184 Å).

Peak list (10 most intense, 5° ≤ 2θ ≤ 70°, in order of rising 2θ)
| d_spacing | Position (°2θ) | I_rel |
| --- | --- | --- |
| 4.521 | 19.63 | 3 |
| 3.916 | 22.71 | 2 |
| 2.769 | 32.33 | 100 |
| 2.361 | 38.11 | 2 |
| 1.958 | 46.38 | 19 |
| 1.797 | 50.82 | 1 |
| 1.751 | 52.24 | 1 |
| 1.599 | 57.67 | 39 |
| 1.507 | 61.53 | 1 |
| 1.384 | 67.68 | 12 |

Cell and atoms:
a b c (Å): 7.831 7.831 7.831
angles (deg): 90.00 90.00 90.00
Space group Fm-3m (No. 225)
One atom of each set of equivalent atoms:
Tl  0.000  0.000  0.000
Tl  0.250  0.250  0.250
Cd  0.000  0.000  0.500

---

For Tl3Cd, a PBE-relaxed structure gives the simulated powder XRD pattern in this record (Cu Kα, 1.54184 Å).

Peak list (10 most intense, 5° ≤ 2θ ≤ 70°, in order of rising 2θ)
| d_spacing | Position (°2θ) | I_rel |
| --- | --- | --- |
| 4.972 | 17.84 | 1 |
| 4.356 | 20.39 | 4 |
| 2.821 | 31.72 | 100 |
| 2.486 | 36.13 | 18 |
| 2.423 | 37.11 | 33 |
| 1.735 | 52.76 | 24 |
| 1.713 | 53.49 | 12 |
| 1.492 | 62.23 | 15 |
| 1.464 | 63.54 | 28 |
| 1.411 | 66.26 | 12 |

Cell and atoms:
a b c (Å): 4.845 4.845 9.944
angles (deg): 90.00 90.00 90.00
Space group I4/mmm (No. 139)
One atom of each set of equivalent atoms:
Tl  0.000  0.000  0.000
Tl  0.000  0.500  0.250
Cd  0.000  0.000  0.500

---

For Y2TlCd, a PBE-relaxed structure gives the simulated powder XRD pattern in this record (Cu Kα, 1.54184 Å).

Peak list (10 most intense, 5° ≤ 2θ ≤ 70°, in order of rising 2θ)
| d_spacing | Position (°2θ) | I_rel |
| --- | --- | --- |
| 4.364 | 20.35 | 6 |
| 3.780 | 23.54 | 8 |
| 2.673 | 33.53 | 100 |
| 2.279 | 39.54 | 4 |
| 2.182 | 41.38 | 3 |
| 1.890 | 48.15 | 18 |
| 1.734 | 52.79 | 2 |
| 1.690 | 54.27 | 4 |
| 1.543 | 59.95 | 37 |
| 1.455 | 64.00 | 1 |

Cell and atoms:
a b c (Å): 7.559 7.559 7.559
angles (deg): 90.00 90.00 90.00
Space group Fm-3m (No. 225)
One atom of each set of equivalent atoms:
Y  0.250  0.250  0.250
Tl  0.000  0.000  0.000
Cd  0.000  0.000  0.500

---

For YTlCd, a PBE-relaxed structure gives the simulated powder XRD pattern in this record (Cu Kα, 1.54184 Å).

Peak list (10 most intense, 5° ≤ 2θ ≤ 70°, in order of rising 2θ)
| d_spacing | Position (°2θ) | I_rel |
| --- | --- | --- |
| 4.159 | 21.37 | 22 |
| 3.601 | 24.72 | 37 |
| 2.547 | 35.24 | 100 |
| 2.172 | 41.58 | 12 |
| 2.079 | 43.53 | 11 |
| 1.801 | 50.70 | 18 |
| 1.652 | 55.62 | 5 |
| 1.611 | 57.19 | 15 |
| 1.470 | 63.25 | 36 |
| 1.386 | 67.58 | 4 |

Cell and atoms:
a b c (Å): 7.203 7.203 7.203
angles (deg): 90.00 90.00 90.00
Space group F-43m (No. 216)
One atom of each set of equivalent atoms:
Y  0.000  0.000  0.000
Tl  0.250  0.250  0.750
Cd  0.250  0.250  0.250

---

For TmCd, a PBE-relaxed structure gives the simulated powder XRD pattern in this record (Cu Kα, 1.54184 Å).

Peak list (6 most intense, 5° ≤ 2θ ≤ 70°, in order of rising 2θ)
| d_spacing | Position (°2θ) | I_rel |
| --- | --- | --- |
| 3.703 | 24.03 | 4 |
| 2.618 | 34.25 | 100 |
| 2.138 | 42.27 | 1 |
| 1.852 | 49.21 | 18 |
| 1.656 | 55.49 | 2 |
| 1.512 | 61.32 | 36 |

Cell and atoms:
a b c (Å): 3.703 3.703 3.703
angles (deg): 90.00 90.00 90.00
Space group Pm-3m (No. 221)
One atom of each set of equivalent atoms:
Tm  0.000  0.000  0.000
Cd  0.500  0.500  0.500